Diffraction record for Mg3Co3As4O16. The powder diffractogram is theoretical, not measured: it uses a DFT-relaxed cell (PBE+U, the Materials Project) and a wavelength of 1.5418 Å.

Main lines, by intensity (10° ≤ 2θ ≤ 80°):
2θ = 27.0°, rel. 100; 2θ = 34.8°, rel. 67; 2θ = 30.0°, rel. 51; 2θ = 36.0°, rel. 44; 2θ = 24.0°, rel. 43; 2θ = 24.3°, rel. 40; 2θ = 12.8°, rel. 39; 2θ = 32.9°, rel. 30

Cell and atoms:
```
data_Mg3Co3As4O16
_chemical_formula_sum 'Mg6 Co6 As8 O32'
_symmetry_space_group_name_H-M 'P 1'
_symmetry_Int_Tables_number 1
_cell_length_a 8.676
_cell_length_b 5.160
_cell_length_c 16.050
_cell_angle_alpha 90.00
_cell_angle_beta 112.28
_cell_angle_gamma 90.00
loop_
_symmetry_equiv_pos_as_xyz
'x,y,z'
loop_
_atom_site_label
_atom_site_type_symbol
_atom_site_fract_x
_atom_site_fract_y
_atom_site_fract_z
_atom_site_occupancy
Mg1 Mg 0.000 0.000 0.000 1
Mg2 Mg 0.000 0.500 0.500 1
Mg3 Mg 0.312 0.046 0.288 1
Mg4 Mg 0.312 0.454 0.788 1
Mg5 Mg 0.688 0.546 0.212 1
Mg6 Mg 0.688 0.954 0.712 1
Co1 Co 0.203 0.510 0.375 1
Co2 Co 0.203 0.990 0.875 1
Co3 Co 0.500 0.000 0.500 1
Co4 Co 0.500 0.500 0.000 1
Co5 Co 0.797 0.010 0.125 1
Co6 Co 0.797 0.490 0.625 1
As1 As 0.037 0.008 0.648 1
As2 As 0.037 0.492 0.148 1
As3 As 0.418 0.503 0.603 1
As4 As 0.418 0.997 0.103 1
As5 As 0.582 0.003 0.897 1
As6 As 0.582 0.497 0.397 1
As7 As 0.963 0.508 0.852 1
As8 As 0.963 0.992 0.352 1
O1 O 0.022 0.676 0.632 1
O2 O 0.022 0.824 0.132 1
O3 O 0.088 0.176 0.573 1
O4 O 0.088 0.324 0.073 1
O5 O 0.154 0.606 0.848 1
O6 O 0.154 0.894 0.348 1
O7 O 0.190 0.096 0.753 1
O8 O 0.190 0.404 0.253 1
O9 O 0.244 0.556 0.508 1
O10 O 0.244 0.944 0.008 1
O11 O 0.400 0.591 0.700 1
O12 O 0.400 0.909 0.200 1
O13 O 0.429 0.214 0.908 1
O14 O 0.429 0.286 0.408 1
O15 O 0.489 0.704 0.893 1
O16 O 0.489 0.796 0.393 1
O17 O 0.511 0.204 0.607 1
O18 O 0.511 0.296 0.107 1
O19 O 0.571 0.714 0.592 1
O20 O 0.571 0.786 0.092 1
O21 O 0.600 0.091 0.800 1
O22 O 0.600 0.409 0.300 1
O23 O 0.756 0.056 0.992 1
O24 O 0.756 0.444 0.492 1
O25 O 0.810 0.596 0.747 1
O26 O 0.810 0.904 0.247 1
O27 O 0.846 0.106 0.652 1
O28 O 0.846 0.394 0.152 1
O29 O 0.912 0.676 0.927 1
O30 O 0.912 0.824 0.427 1
O31 O 0.978 0.176 0.868 1
O32 O 0.978 0.324 0.368 1
```

***

Diffraction record for NaCo2As3O10. The powder diffractogram is theoretical, not measured: it uses a DFT-relaxed cell (PBE+U, the Materials Project) and a wavelength of 1.5418 Å.

Main lines, by intensity (10° ≤ 2θ ≤ 80°):
2θ = 28.5°, rel. 100; 2θ = 31.3°, rel. 93; 2θ = 11.5°, rel. 88; 2θ = 27.3°, rel. 64; 2θ = 25.4°, rel. 51; 2θ = 21.6°, rel. 43; 2θ = 35.8°, rel. 41; 2θ = 31.5°, rel. 40

Cell and atoms:
```
data_NaCo2As3O10
_chemical_formula_sum 'Na2 Co4 As6 O20'
_symmetry_space_group_name_H-M 'P 1'
_symmetry_Int_Tables_number 1
_cell_length_a 6.967
_cell_length_b 7.898
_cell_length_c 8.836
_cell_angle_alpha 107.27
_cell_angle_beta 108.86
_cell_angle_gamma 100.66
loop_
_symmetry_equiv_pos_as_xyz
'x,y,z'
loop_
_atom_site_label
_atom_site_type_symbol
_atom_site_fract_x
_atom_site_fract_y
_atom_site_fract_z
_atom_site_occupancy
Na1 Na 0.246 0.195 0.049 1
Na2 Na 0.754 0.805 0.951 1
Co1 Co 0.048 0.851 0.363 1
Co2 Co 0.389 0.668 0.561 1
Co3 Co 0.611 0.332 0.439 1
Co4 Co 0.952 0.149 0.637 1
As1 As 0.046 0.245 0.334 1
As2 As 0.264 0.576 0.879 1
As3 As 0.486 0.124 0.707 1
As4 As 0.514 0.876 0.293 1
As5 As 0.736 0.424 0.121 1
As6 As 0.954 0.755 0.666 1
O1 O 0.021 0.018 0.225 1
O2 O 0.066 0.698 0.519 1
O3 O 0.102 0.723 0.861 1
O4 O 0.123 0.374 0.872 1
O5 O 0.226 0.100 0.584 1
O6 O 0.297 0.391 0.397 1
O7 O 0.344 0.787 0.374 1
O8 O 0.409 0.579 0.759 1
O9 O 0.471 0.702 0.090 1
O10 O 0.476 0.064 0.248 1
O11 O 0.524 0.936 0.752 1
O12 O 0.529 0.298 0.910 1
O13 O 0.591 0.421 0.241 1
O14 O 0.656 0.213 0.626 1
O15 O 0.703 0.609 0.603 1
O16 O 0.774 0.900 0.416 1
O17 O 0.877 0.626 0.128 1
O18 O 0.898 0.277 0.139 1
O19 O 0.934 0.302 0.481 1
O20 O 0.979 0.982 0.775 1
```

***

Diffraction record for Co3As2O8. The powder diffractogram is theoretical, not measured: it uses a DFT-relaxed cell (PBE+U, the Materials Project) and a wavelength of 1.5418 Å.

Main lines, by intensity (10° ≤ 2θ ≤ 80°):
2θ = 31.9°, rel. 100; 2θ = 29.1°, rel. 24; 2θ = 52.6°, rel. 21; 2θ = 26.8°, rel. 18; 2θ = 53.8°, rel. 17; 2θ = 62.9°, rel. 12; 2θ = 36.5°, rel. 12; 2θ = 38.1°, rel. 10

Cell and atoms:
```
data_Co3As2O8
_chemical_formula_sum 'Co9 As6 O24'
_symmetry_space_group_name_H-M 'P 1'
_symmetry_Int_Tables_number 1
_cell_length_a 10.657
_cell_length_b 10.657
_cell_length_c 10.657
_cell_angle_alpha 141.87
_cell_angle_beta 141.87
_cell_angle_gamma 55.02
loop_
_symmetry_equiv_pos_as_xyz
'x,y,z'
loop_
_atom_site_label
_atom_site_type_symbol
_atom_site_fract_x
_atom_site_fract_y
_atom_site_fract_z
_atom_site_occupancy
Co1 Co 0.000 0.000 0.000 1
Co2 Co 0.024 0.524 0.500 1
Co3 Co 0.128 0.620 0.000 1
Co4 Co 0.271 0.271 0.000 1
Co5 Co 0.380 0.380 0.508 1
Co6 Co 0.476 0.976 0.500 1
Co7 Co 0.620 0.128 0.000 1
Co8 Co 0.729 0.729 0.000 1
Co9 Co 0.872 0.872 0.492 1
As1 As 0.029 0.122 0.404 1
As2 As 0.250 0.750 0.500 1
As3 As 0.375 0.971 0.093 1
As4 As 0.500 0.500 0.000 1
As5 As 0.718 0.625 0.596 1
As6 As 0.878 0.282 0.907 1
O1 O 0.057 0.374 0.232 1
O2 O 0.137 0.308 0.735 1
O3 O 0.142 0.825 0.768 1
O4 O 0.175 0.943 0.317 1
O5 O 0.241 0.584 0.236 1
O6 O 0.327 0.058 0.279 1
O7 O 0.332 0.483 0.729 1
O8 O 0.348 0.005 0.764 1
O9 O 0.396 0.206 0.218 1
O10 O 0.397 0.668 0.151 1
O11 O 0.416 0.652 0.657 1
O12 O 0.517 0.246 0.849 1
O13 O 0.574 0.403 0.265 1
O14 O 0.597 0.863 0.171 1
O15 O 0.626 0.858 0.683 1
O16 O 0.692 0.426 0.829 1
O17 O 0.754 0.603 0.271 1
O18 O 0.779 0.049 0.721 1
O19 O 0.794 0.013 0.190 1
O20 O 0.823 0.604 0.810 1
O21 O 0.942 0.221 0.269 1
O22 O 0.951 0.673 0.731 1
O23 O 0.987 0.177 0.782 1
O24 O 0.995 0.759 0.343 1
```

***

Diffraction record for Co2As2O7. The powder diffractogram is theoretical, not measured: it uses a DFT-relaxed cell (PBE+U, the Materials Project) and a wavelength of 1.5418 Å.

Main lines, by intensity (10° ≤ 2θ ≤ 80°):
2θ = 27.8°, rel. 100; 2θ = 27.6°, rel. 48; 2θ = 30.0°, rel. 47; 2θ = 43.7°, rel. 16; 2θ = 34.7°, rel. 15; 2θ = 34.6°, rel. 15; 2θ = 60.8°, rel. 14; 2θ = 47.4°, rel. 13

Cell and atoms:
```
data_Co2As2O7
_chemical_formula_sum 'Co2 As2 O7'
_symmetry_space_group_name_H-M 'P 1'
_symmetry_Int_Tables_number 1
_cell_length_a 4.858
_cell_length_b 5.444
_cell_length_c 5.459
_cell_angle_alpha 105.56
_cell_angle_beta 97.21
_cell_angle_gamma 97.44
loop_
_symmetry_equiv_pos_as_xyz
'x,y,z'
loop_
_atom_site_label
_atom_site_type_symbol
_atom_site_fract_x
_atom_site_fract_y
_atom_site_fract_z
_atom_site_occupancy
Co1 Co 0.000 0.000 0.000 1
Co2 Co 0.003 0.387 0.620 1
As1 As 0.402 0.932 0.545 1
As2 As 0.602 0.452 0.071 1
O1 O 0.208 0.763 0.707 1
O2 O 0.212 0.098 0.379 1
O3 O 0.274 0.289 0.907 1
O4 O 0.509 0.697 0.309 1
O5 O 0.726 0.100 0.714 1
O6 O 0.791 0.287 0.239 1
O7 O 0.795 0.621 0.908 1
```

***

Diffraction record for Co3As2O8. The powder diffractogram is theoretical, not measured: it uses a DFT-relaxed cell (PBE+U, the Materials Project) and a wavelength of 1.5418 Å.

Main lines, by intensity (10° ≤ 2θ ≤ 80°):
2θ = 34.4°, rel. 100; 2θ = 25.1°, rel. 44; 2θ = 32.7°, rel. 40; 2θ = 31.9°, rel. 39; 2θ = 32.4°, rel. 37; 2θ = 31.7°, rel. 28; 2θ = 33.3°, rel. 24; 2θ = 63.0°, rel. 23

Cell and atoms:
```
data_Co3As2O8
_chemical_formula_sum 'Co12 As8 O32'
_symmetry_space_group_name_H-M 'P 1'
_symmetry_Int_Tables_number 1
_cell_length_a 5.909
_cell_length_b 9.805
_cell_length_c 10.459
_cell_angle_alpha 90.00
_cell_angle_beta 93.26
_cell_angle_gamma 90.00
loop_
_symmetry_equiv_pos_as_xyz
'x,y,z'
loop_
_atom_site_label
_atom_site_type_symbol
_atom_site_fract_x
_atom_site_fract_y
_atom_site_fract_z
_atom_site_occupancy
Co1 Co 0.111 0.134 0.464 1
Co2 Co 0.111 0.366 0.964 1
Co3 Co 0.353 0.138 0.216 1
Co4 Co 0.353 0.362 0.716 1
Co5 Co 0.359 0.623 0.559 1
Co6 Co 0.359 0.877 0.059 1
Co7 Co 0.641 0.123 0.941 1
Co8 Co 0.641 0.377 0.441 1
Co9 Co 0.647 0.638 0.284 1
Co10 Co 0.647 0.862 0.784 1
Co11 Co 0.889 0.634 0.036 1
Co12 Co 0.889 0.866 0.536 1
As1 As 0.126 0.057 0.795 1
As2 As 0.126 0.443 0.295 1
As3 As 0.368 0.655 0.882 1
As4 As 0.368 0.845 0.382 1
As5 As 0.632 0.155 0.618 1
As6 As 0.632 0.345 0.118 1
As7 As 0.874 0.557 0.705 1
As8 As 0.874 0.943 0.205 1
O1 O 0.112 0.005 0.134 1
O2 O 0.112 0.495 0.634 1
O3 O 0.118 0.009 0.635 1
O4 O 0.118 0.491 0.135 1
O5 O 0.132 0.233 0.806 1
O6 O 0.132 0.267 0.306 1
O7 O 0.159 0.730 0.968 1
O8 O 0.159 0.770 0.468 1
O9 O 0.367 0.020 0.382 1
O10 O 0.367 0.480 0.882 1
O11 O 0.371 0.511 0.376 1
O12 O 0.371 0.989 0.876 1
O13 O 0.387 0.723 0.730 1
O14 O 0.387 0.777 0.230 1
O15 O 0.397 0.244 0.547 1
O16 O 0.397 0.256 0.047 1
O17 O 0.603 0.744 0.953 1
O18 O 0.603 0.756 0.453 1
O19 O 0.613 0.223 0.770 1
O20 O 0.613 0.277 0.270 1
O21 O 0.629 0.011 0.124 1
O22 O 0.629 0.489 0.624 1
O23 O 0.633 0.520 0.118 1
O24 O 0.633 0.980 0.618 1
O25 O 0.841 0.230 0.532 1
O26 O 0.841 0.270 0.032 1
O27 O 0.868 0.733 0.694 1
O28 O 0.868 0.767 0.194 1
O29 O 0.882 0.509 0.865 1
O30 O 0.882 0.991 0.365 1
O31 O 0.888 0.505 0.366 1
O32 O 0.888 0.995 0.866 1
```

***

Diffraction record for Co3As2O8. The powder diffractogram is theoretical, not measured: it uses a DFT-relaxed cell (PBE+U, the Materials Project) and a wavelength of 1.5418 Å.

Main lines, by intensity (10° ≤ 2θ ≤ 80°):
2θ = 30.4°, rel. 100; 2θ = 31.6°, rel. 83; 2θ = 29.2°, rel. 64; 2θ = 32.0°, rel. 63; 2θ = 20.5°, rel. 56; 2θ = 30.1°, rel. 53; 2θ = 23.0°, rel. 51; 2θ = 25.8°, rel. 47

Cell and atoms:
```
data_Co3As2O8
_chemical_formula_sum 'Co12 As8 O32'
_symmetry_space_group_name_H-M 'P 1'
_symmetry_Int_Tables_number 1
_cell_length_a 6.538
_cell_length_b 8.664
_cell_length_c 11.313
_cell_angle_alpha 90.00
_cell_angle_beta 91.02
_cell_angle_gamma 90.00
loop_
_symmetry_equiv_pos_as_xyz
'x,y,z'
loop_
_atom_site_label
_atom_site_type_symbol
_atom_site_fract_x
_atom_site_fract_y
_atom_site_fract_z
_atom_site_occupancy
Co1 Co 0.109 0.170 0.055 1
Co2 Co 0.109 0.330 0.555 1
Co3 Co 0.240 0.666 0.641 1
Co4 Co 0.240 0.834 0.141 1
Co5 Co 0.390 0.055 0.626 1
Co6 Co 0.390 0.445 0.126 1
Co7 Co 0.610 0.555 0.874 1
Co8 Co 0.610 0.945 0.374 1
Co9 Co 0.760 0.166 0.859 1
Co10 Co 0.760 0.334 0.359 1
Co11 Co 0.891 0.670 0.445 1
Co12 Co 0.891 0.830 0.945 1
As1 As 0.101 0.046 0.356 1
As2 As 0.101 0.454 0.856 1
As3 As 0.393 0.588 0.366 1
As4 As 0.393 0.912 0.866 1
As5 As 0.607 0.088 0.134 1
As6 As 0.607 0.412 0.634 1
As7 As 0.899 0.546 0.144 1
As8 As 0.899 0.954 0.644 1
O1 O 0.036 0.233 0.396 1
O2 O 0.036 0.267 0.896 1
O3 O 0.079 0.096 0.617 1
O4 O 0.079 0.404 0.117 1
O5 O 0.133 0.040 0.204 1
O6 O 0.133 0.460 0.704 1
O7 O 0.199 0.571 0.471 1
O8 O 0.199 0.929 0.971 1
O9 O 0.296 0.643 0.230 1
O10 O 0.296 0.857 0.730 1
O11 O 0.327 0.502 0.928 1
O12 O 0.327 0.998 0.428 1
O13 O 0.425 0.214 0.078 1
O14 O 0.425 0.286 0.578 1
O15 O 0.475 0.093 0.825 1
O16 O 0.475 0.407 0.325 1
O17 O 0.525 0.593 0.675 1
O18 O 0.525 0.907 0.175 1
O19 O 0.575 0.714 0.422 1
O20 O 0.575 0.786 0.922 1
O21 O 0.673 0.002 0.572 1
O22 O 0.673 0.498 0.072 1
O23 O 0.704 0.143 0.270 1
O24 O 0.704 0.357 0.770 1
O25 O 0.801 0.071 0.029 1
O26 O 0.801 0.429 0.529 1
O27 O 0.867 0.540 0.296 1
O28 O 0.867 0.960 0.796 1
O29 O 0.921 0.596 0.883 1
O30 O 0.921 0.904 0.383 1
O31 O 0.964 0.733 0.104 1
O32 O 0.964 0.767 0.604 1
```